Simulated powder XRD pattern
Compound: LaHoIn2Ni4
Radiation: CuKα
Structure: the GGA-PBE geometry in OQMD

Structural model:
```
LaHoIn2Ni4
1.0
4.052 0.000 0.000
0.000 5.177 0.000
0.000 0.000 7.079
La Ho In Ni
1 1 2 4
Direct
0.000 0.000 0.000 La
0.000 0.500 0.466 Ho
0.500 0.000 0.386 In
0.500 0.500 0.090 In
0.000 0.000 0.619 Ni
0.000 0.500 0.843 Ni
0.500 0.259 0.724 Ni
0.500 0.741 0.724 Ni
```

Main lines, in order of rising 2θ (2θ = 10–90°):
index, d [Å], 2θ (°), I (rel.)
1 1 1, 2.909, 30.73, 100.0
1 0 2, 2.666, 33.62, 27.6
0 2 0, 2.589, 34.65, 32.4
1 1 2, 2.370, 37.97, 62.1
0 1 3, 2.147, 42.08, 29.8
0 2 2, 2.089, 43.30, 26.5
1 2 1, 2.085, 43.41, 27.3
2 0 0, 2.026, 44.73, 34.7
1 1 3, 1.897, 47.95, 18.2
2 1 3, 1.474, 63.09, 17.5